Record 1
Diffraction record for Te8Pd4Au. The powder diffraction line list is calculated, not measured: it uses the PBE geometry in Alexandria and Cu Kα, 1.54184 Å.
Kinematic intensities with the Lorentz-polarization factor, no thermal factor.

The 8 most intense peaks (2θ from 10° to 80°), in order of rising 2θ:
13.50 deg, d = 6.560 Å, I = 36; 31.44 deg, d = 2.845 Å, I = 100; 41.29 deg, d = 2.187 Å, I = 10; 44.97 deg, d = 2.016 Å, I = 39; 45.15 deg, d = 2.008 Å, I = 31; 55.90 deg, d = 1.645 Å, I = 19; 74.45 deg, d = 1.274 Å, I = 16; 74.70 deg, d = 1.271 Å, I = 10

Crystal structure
```
Te8Pd4Au
1.0
4.0315 2.3276 6.5471
-4.0315 2.3276 6.5471
0.0000 -4.6552 6.5471
Te Pd Au
8 4 1
direct
0.2310 0.7426 0.7426 Te
0.2379 0.2379 0.2379 Te
0.2574 0.2574 0.7690 Te
0.2574 0.7690 0.2574 Te
0.7426 0.2310 0.7426 Te
0.7426 0.7426 0.2310 Te
0.7621 0.7621 0.7621 Te
0.7690 0.2574 0.2574 Te
0.0000 0.0000 0.5000 Pd
0.0000 0.5000 0.0000 Pd
0.5000 0.0000 0.0000 Pd
0.5000 0.5000 0.5000 Pd
0.0000 0.0000 0.0000 Au
```

Record 2
Diffraction record for TePd8Au2. The powder diffraction line list is calculated, not measured: it uses the PBE geometry in Alexandria and Cu Kα, 1.54184 Å.
Kinematic intensities with the Lorentz-polarization factor, no thermal factor.

The 8 most intense peaks (2θ from 10° to 80°), in order of rising 2θ:
38.71 deg, d = 2.326 Å, I = 100; 43.85 deg, d = 2.065 Å, I = 18; 44.78 deg, d = 2.024 Å, I = 16; 46.37 deg, d = 1.958 Å, I = 15; 64.47 deg, d = 1.445 Å, I = 11; 65.72 deg, d = 1.421 Å, I = 10; 77.13 deg, d = 1.237 Å, I = 13; 78.41 deg, d = 1.220 Å, I = 6

Crystal structure
```
TePd8Au2
1.0
7.2183 -2.0649 0.0000
7.2183 2.0649 0.0000
-1.4768 0.0000 6.0400
Te Pd Au
1 8 2
direct
0.0000 0.0000 0.0000 Te
0.0897 0.0897 0.4517 Pd
0.1785 0.1785 0.9091 Pd
0.3594 0.3594 0.8168 Pd
0.4573 0.4573 0.2719 Pd
0.5427 0.5427 0.7281 Pd
0.6406 0.6406 0.1832 Pd
0.8215 0.8215 0.0909 Pd
0.9103 0.9103 0.5483 Pd
0.2749 0.2749 0.3601 Au
0.7251 0.7251 0.6399 Au
```

Record 3
Diffraction record for Te6Pd3Au. The powder diffraction line list is calculated, not measured: it uses the PBE geometry in Alexandria and Cu Kα, 1.54184 Å.
Kinematic intensities with the Lorentz-polarization factor, no thermal factor.

The 8 most intense peaks (2θ from 10° to 80°), in order of rising 2θ:
17.51 deg, d = 5.066 Å, I = 28; 24.64 deg, d = 3.613 Å, I = 24; 29.28 deg, d = 3.050 Å, I = 100; 35.44 deg, d = 2.533 Å, I = 26; 39.50 deg, d = 2.281 Å, I = 66; 43.90 deg, d = 2.062 Å, I = 22; 44.17 deg, d = 2.051 Å, I = 57; 52.85 deg, d = 1.732 Å, I = 19

Crystal structure
```
Te6Pd3Au
1.0
3.5516 2.0505 5.9531
-3.5516 2.0505 5.9531
0.0000 -4.1011 5.9531
Te Pd Au
6 3 1
direct
0.0140 0.2893 0.6967 Te
0.1900 0.8067 0.4970 Te
0.2893 0.6967 0.0140 Te
0.4970 0.1900 0.8067 Te
0.6967 0.0140 0.2893 Te
0.8067 0.4970 0.1900 Te
0.0982 0.0982 0.0982 Pd
0.4017 0.4017 0.4017 Pd
0.8972 0.8972 0.8972 Pd
0.6045 0.6045 0.6045 Au
```

Record 4
Diffraction record for Te6Pd3Au. The powder diffraction line list is calculated, not measured: it uses the PBE geometry in Alexandria and Cu Kα, 1.54184 Å.
Kinematic intensities with the Lorentz-polarization factor, no thermal factor.

The 8 most intense peaks (2θ from 10° to 80°), in order of rising 2θ:
22.06 deg, d = 4.030 Å, I = 34; 25.53 deg, d = 3.489 Å, I = 49; 26.46 deg, d = 3.368 Å, I = 32; 31.34 deg, d = 2.854 Å, I = 28; 34.20 deg, d = 2.622 Å, I = 32; 39.71 deg, d = 2.270 Å, I = 100; 43.16 deg, d = 2.096 Å, I = 24; 43.19 deg, d = 2.095 Å, I = 25

Crystal structure
```
Te6Pd3Au
1.0
5.2427 -6.3003 0.0000
5.2427 6.3003 0.0000
0.0000 0.0000 4.1895
Te Pd Au
6 3 1
direct
0.1509 0.8491 0.0000 Te
0.1776 0.4221 0.5000 Te
0.4221 0.1776 0.5000 Te
0.5779 0.8224 0.5000 Te
0.8224 0.5779 0.5000 Te
0.8491 0.1509 0.0000 Te
0.0000 0.5000 0.0000 Pd
0.5000 0.0000 0.0000 Pd
0.5000 0.5000 0.5000 Pd
0.0000 0.0000 0.5000 Au
```

Record 5
Diffraction record for TePd2Au. The powder diffraction line list is calculated, not measured: it uses the PBE geometry in Alexandria and Cu Kα, 1.54184 Å.
Kinematic intensities with the Lorentz-polarization factor, no thermal factor.

The 8 most intense peaks (2θ from 10° to 80°), in order of rising 2θ:
30.29 deg, d = 2.951 Å, I = 100; 30.80 deg, d = 2.903 Å, I = 84; 37.72 deg, d = 2.385 Å, I = 57; 38.11 deg, d = 2.361 Å, I = 63; 40.71 deg, d = 2.216 Å, I = 61; 40.97 deg, d = 2.203 Å, I = 35; 46.62 deg, d = 1.948 Å, I = 51; 48.57 deg, d = 1.875 Å, I = 35

Crystal structure
```
TePd2Au
1.0
8.0341 0.0000 0.0000
0.0000 6.6833 0.0000
-0.0914 0.0000 5.8587
Te Pd Au
4 8 4
direct
0.1619 0.0692 0.1909 Te
0.1619 0.4308 0.6909 Te
0.8381 0.5692 0.3091 Te
0.8381 0.9308 0.8091 Te
0.0844 0.6947 0.0175 Pd
0.0844 0.8053 0.5175 Pd
0.3945 0.1866 0.4798 Pd
0.3945 0.3134 0.9798 Pd
0.6055 0.6866 0.0202 Pd
0.6055 0.8134 0.5202 Pd
0.9156 0.1947 0.4825 Pd
0.9156 0.3053 0.9825 Pd
0.3534 0.5952 0.3171 Au
0.3534 0.9048 0.8171 Au
0.6466 0.0952 0.1829 Au
0.6466 0.4048 0.6829 Au
```

Record 6
Diffraction record for ThPd4Au5. The powder diffraction line list is calculated, not measured: it uses the PBE geometry in Alexandria and Cu Kα, 1.54184 Å.
Kinematic intensities with the Lorentz-polarization factor, no thermal factor.

The 8 most intense peaks (2θ from 10° to 80°), in order of rising 2θ:
28.19 deg, d = 3.165 Å, I = 25; 29.74 deg, d = 3.004 Å, I = 32; 37.22 deg, d = 2.416 Å, I = 100; 37.47 deg, d = 2.400 Å, I = 29; 39.98 deg, d = 2.255 Å, I = 35; 41.78 deg, d = 2.162 Å, I = 57; 42.04 deg, d = 2.149 Å, I = 21; 53.65 deg, d = 1.708 Å, I = 27

Crystal structure
```
ThPd4Au5
1.0
8.3971 0.0000 0.0000
0.0000 9.6557 0.0000
0.0000 0.0000 4.8004
Th Pd Au
2 8 10
direct
0.2500 0.2500 0.2087 Th
0.7500 0.7500 0.7913 Th
0.0095 0.7500 0.4080 Pd
0.2500 0.5411 0.2636 Pd
0.2500 0.9589 0.2636 Pd
0.4905 0.7500 0.4080 Pd
0.5095 0.2500 0.5920 Pd
0.7500 0.0411 0.7364 Pd
0.7500 0.4589 0.7364 Pd
0.9905 0.2500 0.5920 Pd
0.0824 0.5072 0.7552 Au
0.0824 0.9928 0.7552 Au
0.2500 0.7500 0.8535 Au
0.4176 0.5072 0.7552 Au
0.4176 0.9928 0.7552 Au
0.5824 0.0072 0.2448 Au
0.5824 0.4928 0.2448 Au
0.7500 0.2500 0.1465 Au
0.9176 0.0072 0.2448 Au
0.9176 0.4928 0.2448 Au
```

Record 7
Diffraction record for Th4Pd15Au. The powder diffraction line list is calculated, not measured: it uses the PBE geometry in Alexandria and Cu Kα, 1.54184 Å.
Kinematic intensities with the Lorentz-polarization factor, no thermal factor.

The 8 most intense peaks (2θ from 10° to 80°), in order of rising 2θ:
37.26 deg, d = 2.413 Å, I = 100; 42.94 deg, d = 2.106 Å, I = 35; 44.00 deg, d = 2.058 Å, I = 14; 62.34 deg, d = 1.489 Å, I = 11; 63.16 deg, d = 1.472 Å, I = 19; 74.92 deg, d = 1.268 Å, I = 26; 76.43 deg, d = 1.246 Å, I = 9; 79.42 deg, d = 1.207 Å, I = 10

Crystal structure
```
Th4Pd15Au
1.0
4.2129 0.0000 0.0000
0.0000 4.2129 0.0000
0.0000 0.0000 20.5793
Th Pd Au
4 15 1
direct
0.0000 0.0000 0.1038 Th
0.0000 0.0000 0.3126 Th
0.0000 0.0000 0.6874 Th
0.0000 0.0000 0.8962 Th
0.0000 0.5000 0.0000 Pd
0.0000 0.5000 0.2030 Pd
0.0000 0.5000 0.4050 Pd
0.0000 0.5000 0.5950 Pd
0.0000 0.5000 0.7970 Pd
0.5000 0.0000 0.0000 Pd
0.5000 0.0000 0.2030 Pd
0.5000 0.0000 0.4050 Pd
0.5000 0.0000 0.5950 Pd
0.5000 0.0000 0.7970 Pd
0.5000 0.5000 0.1010 Pd
0.5000 0.5000 0.3031 Pd
0.5000 0.5000 0.5000 Pd
0.5000 0.5000 0.6969 Pd
0.5000 0.5000 0.8990 Pd
0.0000 0.0000 0.5000 Au
```

Record 8
Diffraction record for ThPd8Au2. The powder diffraction line list is calculated, not measured: it uses the PBE geometry in Alexandria and Cu Kα, 1.54184 Å.
Kinematic intensities with the Lorentz-polarization factor, no thermal factor.

The 8 most intense peaks (2θ from 10° to 80°), in order of rising 2θ:
37.70 deg, d = 2.386 Å, I = 99; 37.95 deg, d = 2.371 Å, I = 100; 38.28 deg, d = 2.351 Å, I = 98; 38.50 deg, d = 2.338 Å, I = 95; 43.96 deg, d = 2.060 Å, I = 66; 44.10 deg, d = 2.054 Å, I = 63; 44.82 deg, d = 2.022 Å, I = 62; 64.70 deg, d = 1.441 Å, I = 40

Crystal structure
```
ThPd8Au2
1.0
4.9783 0.0000 0.0000
-0.7459 4.9604 0.0000
-0.8594 -0.3152 7.6222
Th Pd Au
1 8 2
direct
0.0000 0.0000 0.0000 Th
0.0988 0.1738 0.3671 Pd
0.2842 0.5451 0.0927 Pd
0.3660 0.7279 0.4501 Pd
0.4462 0.9185 0.8075 Pd
0.5538 0.0815 0.1925 Pd
0.6340 0.2721 0.5499 Pd
0.7158 0.4549 0.9073 Pd
0.9012 0.8262 0.6329 Pd
0.1789 0.3866 0.7184 Au
0.8211 0.6134 0.2816 Au
```

Record 9
Diffraction record for ThPd3Au9. The powder diffraction line list is calculated, not measured: it uses the PBE geometry in Alexandria and Cu Kα, 1.54184 Å.
Kinematic intensities with the Lorentz-polarization factor, no thermal factor.

The 8 most intense peaks (2θ from 10° to 80°), in order of rising 2θ:
31.88 deg, d = 2.807 Å, I = 40; 32.63 deg, d = 2.745 Å, I = 42; 37.11 deg, d = 2.423 Å, I = 30; 37.56 deg, d = 2.394 Å, I = 63; 38.12 deg, d = 2.361 Å, I = 40; 38.46 deg, d = 2.341 Å, I = 100; 38.59 deg, d = 2.333 Å, I = 39; 42.43 deg, d = 2.130 Å, I = 65

Crystal structure
```
ThPd3Au9
1.0
2.8076 -6.5460 0.0000
2.8076 6.5460 0.0000
-2.6737 0.0000 6.7007
Th Pd Au
1 3 9
direct
0.0000 0.0000 0.0000 Th
0.0000 0.0000 0.5000 Pd
0.0000 0.5000 0.0000 Pd
0.5000 0.0000 0.0000 Pd
0.0152 0.6707 0.6640 Au
0.2846 0.4998 0.7877 Au
0.3293 0.9848 0.3360 Au
0.4998 0.2846 0.7877 Au
0.5000 0.5000 0.5000 Au
0.5002 0.7154 0.2123 Au
0.6707 0.0152 0.6640 Au
0.7154 0.5002 0.2123 Au
0.9848 0.3293 0.3360 Au
```

Record 10
Diffraction record for Th4Pd12Au. The powder diffraction line list is calculated, not measured: it uses the PBE geometry in Alexandria and Cu Kα, 1.54184 Å.
Kinematic intensities with the Lorentz-polarization factor, no thermal factor.

The 8 most intense peaks (2θ from 10° to 80°), in order of rising 2θ:
29.06 deg, d = 3.072 Å, I = 42; 35.79 deg, d = 2.509 Å, I = 100; 38.77 deg, d = 2.323 Å, I = 18; 41.57 deg, d = 2.173 Å, I = 71; 49.18 deg, d = 1.853 Å, I = 13; 60.24 deg, d = 1.536 Å, I = 41; 68.26 deg, d = 1.374 Å, I = 14; 72.09 deg, d = 1.310 Å, I = 29

Crystal structure
```
Th4Pd12Au
1.0
-4.3451 4.3451 4.3451
4.3451 -4.3451 4.3451
4.3451 4.3451 -4.3451
Th Pd Au
4 12 1
direct
0.0000 0.0000 0.5000 Th
0.0000 0.5000 0.0000 Th
0.5000 0.0000 0.0000 Th
0.5000 0.5000 0.5000 Th
0.0000 0.3037 0.3037 Pd
0.0000 0.6963 0.6963 Pd
0.2500 0.5000 0.7500 Pd
0.2500 0.7500 0.5000 Pd
0.3037 0.0000 0.3037 Pd
0.3037 0.3037 0.0000 Pd
0.5000 0.2500 0.7500 Pd
0.5000 0.7500 0.2500 Pd
0.6963 0.0000 0.6963 Pd
0.6963 0.6963 0.0000 Pd
0.7500 0.2500 0.5000 Pd
0.7500 0.5000 0.2500 Pd
0.0000 0.0000 0.0000 Au
```

Record 11
Diffraction record for ThPd2Au8. The powder diffraction line list is calculated, not measured: it uses the PBE geometry in Alexandria and Cu Kα, 1.54184 Å.
Kinematic intensities with the Lorentz-polarization factor, no thermal factor.

The 8 most intense peaks (2θ from 10° to 80°), in order of rising 2θ:
29.31 deg, d = 3.047 Å, I = 20; 33.10 deg, d = 2.706 Å, I = 13; 36.99 deg, d = 2.430 Å, I = 100; 38.41 deg, d = 2.344 Å, I = 68; 38.80 deg, d = 2.321 Å, I = 40; 42.00 deg, d = 2.151 Å, I = 33; 58.45 deg, d = 1.579 Å, I = 13; 68.14 deg, d = 1.376 Å, I = 19

Crystal structure
```
ThPd2Au8
1.0
4.3160 -5.8895 0.0000
4.3160 5.8895 0.0000
-0.0087 0.0000 4.3019
Th Pd Au
1 2 8
direct
0.0000 0.0000 0.0000 Th
0.3845 0.6155 0.5000 Pd
0.6155 0.3845 0.5000 Pd
0.0378 0.3152 0.5006 Au
0.2502 0.7498 0.0000 Au
0.3152 0.0378 0.5006 Au
0.3370 0.3370 0.9996 Au
0.6630 0.6630 0.0004 Au
0.6848 0.9622 0.4994 Au
0.7498 0.2502 0.0000 Au
0.9622 0.6848 0.4994 Au
```

Record 12
Diffraction record for TiPd12Au6. The powder diffraction line list is calculated, not measured: it uses the PBE geometry in Alexandria and Cu Kα, 1.54184 Å.
Kinematic intensities with the Lorentz-polarization factor, no thermal factor.

The 8 most intense peaks (2θ from 10° to 80°), in order of rising 2θ:
29.69 deg, d = 3.009 Å, I = 30; 39.01 deg, d = 2.309 Å, I = 100; 39.64 deg, d = 2.274 Å, I = 28; 40.88 deg, d = 2.207 Å, I = 25; 41.43 deg, d = 2.179 Å, I = 55; 42.33 deg, d = 2.135 Å, I = 42; 45.03 deg, d = 2.013 Å, I = 13; 73.95 deg, d = 1.282 Å, I = 15

Crystal structure
```
TiPd12Au6
1.0
4.9077 2.8334 3.8099
-4.9077 2.8334 3.8099
0.0000 -5.6669 3.8099
Ti Pd Au
1 12 6
direct
0.0000 0.0000 0.0000 Ti
0.0431 0.3647 0.1421 Pd
0.1421 0.0431 0.3647 Pd
0.2041 0.5478 0.4676 Pd
0.3647 0.1421 0.0431 Pd
0.4522 0.5324 0.7959 Pd
0.4676 0.2041 0.5478 Pd
0.5324 0.7959 0.4522 Pd
0.5478 0.4676 0.2041 Pd
0.6353 0.8579 0.9569 Pd
0.7959 0.4522 0.5324 Pd
0.8579 0.9569 0.6353 Pd
0.9569 0.6353 0.8579 Pd
0.1196 0.2762 0.7363 Au
0.2637 0.8804 0.7238 Au
0.2762 0.7363 0.1196 Au
0.7238 0.2637 0.8804 Au
0.7363 0.1196 0.2762 Au
0.8804 0.7238 0.2637 Au
```